The following is a theoretical powder XRD pattern of Ag5GeO4. It was derived from a DFT-relaxed cell (GGA-PBE, OQMD), using CuKα.

Largest 10 diffraction maxima, sorted by position, 10° ≤ 2θ ≤ 80°:
- 16.39 deg, I 7
- 27.68 deg, I 5
- 34.38 deg, I 100
- 34.80 deg, I 10
- 36.17 deg, I 26
- 41.08 deg, I 10
- 47.95 deg, I 6
- 50.80 deg, I 10
- 61.55 deg, I 5
- 63.91 deg, I 5

Structural model:
```
data_Ag5GeO4
_cell_length_a 6.4492
_cell_length_b 9.9329
_cell_length_c 11.0847
_cell_angle_alpha 90.00
_cell_angle_beta 123.95
_cell_angle_gamma 90.00
_symmetry_space_group_name_H-M 'P 1'
_symmetry_Int_Tables_number 1
_symmetry_space_group_name_Hall 'P 1'
loop_
_atom_site_label
_atom_site_type_symbol
_atom_site_fract_x
_atom_site_fract_y
_atom_site_fract_z
Ag1 Ag 0.0730 0.0852 0.4082
Ag2 Ag 0.0730 0.4148 0.9082
Ag3 Ag 0.2014 0.6219 0.4243
Ag4 Ag 0.2014 0.8781 0.9243
Ag5 Ag 0.3238 0.0971 0.8028
Ag6 Ag 0.3238 0.4029 0.3028
Ag7 Ag 0.3482 0.1246 0.0604
Ag8 Ag 0.3482 0.3754 0.5604
Ag9 Ag 0.3931 0.6414 0.1172
Ag10 Ag 0.3931 0.8586 0.6172
Ag11 Ag 0.6069 0.1414 0.3828
Ag12 Ag 0.6069 0.3586 0.8828
Ag13 Ag 0.6518 0.6246 0.4396
Ag14 Ag 0.6518 0.8754 0.9396
Ag15 Ag 0.6762 0.5971 0.6972
Ag16 Ag 0.6762 0.9029 0.1972
Ag17 Ag 0.7986 0.1219 0.0757
Ag18 Ag 0.7986 0.3781 0.5757
Ag19 Ag 0.9270 0.5852 0.0918
Ag20 Ag 0.9270 0.9148 0.5918
Ge1 Ge 0.2476 0.6132 0.7585
Ge2 Ge 0.2476 0.8868 0.2585
Ge3 Ge 0.7524 0.1132 0.7415
Ge4 Ge 0.7524 0.3868 0.2415
O1 O 0.0816 0.7076 0.5934
O2 O 0.0816 0.7924 0.0934
O3 O 0.1111 0.6436 0.8592
O4 O 0.1111 0.8564 0.3592
O5 O 0.2207 0.0643 0.2256
O6 O 0.2207 0.4357 0.7256
O7 O 0.4294 0.1548 0.6404
O8 O 0.4294 0.3452 0.1404
O9 O 0.5706 0.6548 0.8596
O10 O 0.5706 0.8452 0.3596
O11 O 0.7793 0.5643 0.2744
O12 O 0.7793 0.9357 0.7744
O13 O 0.8889 0.1436 0.6408
O14 O 0.8889 0.3564 0.1408
O15 O 0.9184 0.2076 0.9066
O16 O 0.9184 0.2924 0.4066
```

The following is a theoretical powder XRD pattern of AgGeSO. It was derived from a DFT-relaxed cell (GGA-PBE, OQMD), using CuKα.

Largest 10 diffraction maxima, sorted by position, 10° ≤ 2θ ≤ 80°:
- 15.51 deg, I 30
- 19.55 deg, I 30
- 21.76 deg, I 39
- 22.26 deg, I 100
- 27.26 deg, I 39
- 29.79 deg, I 28
- 31.32 deg, I 47
- 35.47 deg, I 36
- 36.47 deg, I 43
- 48.57 deg, I 26

Structural model:
```
data_AgGeSO
_cell_length_a 5.4611
_cell_length_b 7.9883
_cell_length_c 8.1701
_cell_angle_alpha 90.00
_cell_angle_beta 90.00
_cell_angle_gamma 90.00
_symmetry_space_group_name_H-M 'P 1'
_symmetry_Int_Tables_number 1
_symmetry_space_group_name_Hall 'P 1'
loop_
_atom_site_label
_atom_site_type_symbol
_atom_site_fract_x
_atom_site_fract_y
_atom_site_fract_z
Ag1 Ag 0.2476 0.2210 0.0298
Ag2 Ag 0.2524 0.7790 0.5298
Ag3 Ag 0.7476 0.2790 0.9702
Ag4 Ag 0.7524 0.7210 0.4702
Ge1 Ge 0.1367 0.7023 0.1109
Ge2 Ge 0.3633 0.2977 0.6109
Ge3 Ge 0.6367 0.7977 0.8891
Ge4 Ge 0.8633 0.2023 0.3891
S1 S 0.0135 0.9043 0.3122
S2 S 0.4865 0.0957 0.8122
S3 S 0.5135 0.5957 0.6878
S4 S 0.9865 0.4043 0.1878
O1 O 0.0408 0.2612 0.5684
O2 O 0.4592 0.7388 0.0684
O3 O 0.5408 0.2388 0.4316
O4 O 0.9592 0.7612 0.9316
```

The following is a theoretical powder XRD pattern of Ag6GeSO8. It was derived from a DFT-relaxed cell (GGA-PBE, OQMD), using CuKα.

Largest 10 diffraction maxima, sorted by position, 10° ≤ 2θ ≤ 80°:
- 13.48 deg, I 11
- 32.18 deg, I 100
- 36.05 deg, I 27
- 37.83 deg, I 12
- 39.78 deg, I 9
- 51.91 deg, I 12
- 54.76 deg, I 19
- 62.40 deg, I 19
- 67.33 deg, I 6
- 67.46 deg, I 6

Structural model:
```
data_Ag6GeSO8
_cell_length_a 10.3429
_cell_length_b 10.3429
_cell_length_c 10.3429
_cell_angle_alpha 140.17
_cell_angle_beta 140.17
_cell_angle_gamma 57.59
_symmetry_space_group_name_H-M 'P 1'
_symmetry_Int_Tables_number 1
_symmetry_space_group_name_Hall 'P 1'
loop_
_atom_site_label
_atom_site_type_symbol
_atom_site_fract_x
_atom_site_fract_y
_atom_site_fract_z
Ag1 Ag 0.0000 0.2090 0.2090
Ag2 Ag 0.0000 0.7910 0.7910
Ag3 Ag 0.1066 0.3566 0.7500
Ag4 Ag 0.2090 0.0000 0.7090
Ag5 Ag 0.2090 0.5000 0.2090
Ag6 Ag 0.3566 0.1066 0.2500
Ag7 Ag 0.5000 0.2090 0.7090
Ag8 Ag 0.5000 0.7910 0.2910
Ag9 Ag 0.6434 0.8934 0.7500
Ag10 Ag 0.7910 0.0000 0.2910
Ag11 Ag 0.7910 0.5000 0.7910
Ag12 Ag 0.8934 0.6434 0.2500
Ge1 Ge 0.1250 0.8750 0.2500
Ge2 Ge 0.8750 0.1250 0.7500
S1 S 0.3750 0.6250 0.7500
S2 S 0.6250 0.3750 0.2500
O1 O 0.1398 0.1791 0.9606
O2 O 0.1541 0.5777 0.5765
O3 O 0.1791 0.1398 0.4606
O4 O 0.1791 0.7185 0.0394
O5 O 0.2815 0.8209 0.4606
O6 O 0.4223 0.4988 0.5765
O7 O 0.4223 0.8459 0.9235
O8 O 0.4988 0.4223 0.0765
O9 O 0.5012 0.5777 0.9235
O10 O 0.5777 0.1541 0.0765
O11 O 0.5777 0.5012 0.4235
O12 O 0.7185 0.1791 0.5394
O13 O 0.8209 0.2815 0.9606
O14 O 0.8209 0.8602 0.5394
O15 O 0.8459 0.4223 0.4235
O16 O 0.8602 0.8209 0.0394
```

The following is a theoretical powder XRD pattern of ZrAgGe2O7. It was derived from a DFT-relaxed cell (GGA-PBE, OQMD), using CuKα.

Largest 10 diffraction maxima, sorted by position, 10° ≤ 2θ ≤ 80°:
- 27.01 deg, I 46
- 27.47 deg, I 100
- 28.59 deg, I 73
- 33.38 deg, I 60
- 39.84 deg, I 12
- 41.32 deg, I 14
- 45.91 deg, I 24
- 51.25 deg, I 14
- 53.30 deg, I 23
- 58.17 deg, I 13

Structural model:
```
data_ZrAgGe2O7
_cell_length_a 5.6035
_cell_length_b 5.6035
_cell_length_c 4.9439
_cell_angle_alpha 98.07
_cell_angle_beta 98.07
_cell_angle_gamma 103.33
_symmetry_space_group_name_H-M 'P 1'
_symmetry_Int_Tables_number 1
_symmetry_space_group_name_Hall 'P 1'
loop_
_atom_site_label
_atom_site_type_symbol
_atom_site_fract_x
_atom_site_fract_y
_atom_site_fract_z
Zr1 Zr 0.0000 0.0000 0.0000
Ag1 Ag 0.6149 0.3851 0.0000
Ge1 Ge 0.1139 0.4623 0.5845
Ge2 Ge 0.5377 0.8861 0.4155
O1 O 0.2150 0.2785 0.8184
O2 O 0.3182 0.0192 0.2557
O3 O 0.4042 0.5958 0.5000
O4 O 0.7099 0.0861 0.7235
O5 O 0.7215 0.7850 0.1816
O6 O 0.9139 0.2901 0.2765
O7 O 0.9808 0.6818 0.7443
```

The following is a theoretical powder XRD pattern of Si16AgGe12P3. It was derived from a DFT-relaxed cell (GGA-PBE, OQMD), using CuKα.

Largest 10 diffraction maxima, sorted by position, 10° ≤ 2θ ≤ 80°:
- 11.76 deg, I 4
- 20.64 deg, I 3
- 27.79 deg, I 100
- 46.15 deg, I 35
- 46.22 deg, I 35
- 54.71 deg, I 20
- 54.82 deg, I 20
- 67.31 deg, I 7
- 67.51 deg, I 4
- 74.41 deg, I 10

Structural model:
```
data_Si16AgGe12P3
_cell_length_a 6.8003
_cell_length_b 10.3992
_cell_length_c 10.4035
_cell_angle_alpha 81.75
_cell_angle_beta 83.80
_cell_angle_gamma 71.08
_symmetry_space_group_name_H-M 'P 1'
_symmetry_Int_Tables_number 1
_symmetry_space_group_name_Hall 'P 1'
loop_
_atom_site_label
_atom_site_type_symbol
_atom_site_fract_x
_atom_site_fract_y
_atom_site_fract_z
Si1 Si 0.0000 0.0000 0.0000
Si2 Si 0.0007 0.4898 0.4993
Si3 Si 0.0063 0.6170 0.1151
Si4 Si 0.0081 0.8683 0.3757
Si5 Si 0.1295 0.8799 0.5798
Si6 Si 0.1354 0.2610 0.4539
Si7 Si 0.1388 0.7661 0.9565
Si8 Si 0.1475 0.3784 0.0757
Si9 Si 0.5051 0.1822 0.4408
Si10 Si 0.5070 0.5546 0.2974
Si11 Si 0.5092 0.3027 0.0705
Si12 Si 0.5181 0.9244 0.1852
Si13 Si 0.6193 0.2021 0.6390
Si14 Si 0.6186 0.3197 0.2696
Si15 Si 0.6273 0.0759 0.0253
Si16 Si 0.6316 0.6976 0.1335
Ag1 Ag 0.6409 0.4483 0.9065
Ge1 Ge 0.0107 0.7364 0.7572
Ge2 Ge 0.1298 0.6316 0.3254
Ge3 Ge 0.1392 0.0093 0.2027
Ge4 Ge 0.1440 0.4952 0.7014
Ge5 Ge 0.5047 0.8010 0.5624
Ge6 Ge 0.5062 0.0628 0.8185
Ge7 Ge 0.5232 0.4296 0.6931
Ge8 Ge 0.6210 0.8227 0.7739
Ge9 Ge 0.6266 0.5657 0.5023
Ge10 Ge 0.6321 0.9495 0.3891
Ge11 Ge 0.9956 0.2504 0.2506
Ge12 Ge 0.9990 0.1197 0.6260
P1 P 0.0190 0.3611 0.8817
P2 P 0.1291 0.1403 0.8354
P3 P 0.4975 0.6877 0.9442
```

The following is a theoretical powder XRD pattern of Ag3Sn2Ge3P6. It was derived from a DFT-relaxed cell (GGA-PBE, OQMD), using CuKα.

Largest 10 diffraction maxima, sorted by position, 10° ≤ 2θ ≤ 80°:
- 11.79 deg, I 27
- 29.15 deg, I 100
- 31.55 deg, I 13
- 33.79 deg, I 18
- 35.91 deg, I 19
- 39.85 deg, I 30
- 43.49 deg, I 36
- 48.53 deg, I 29
- 53.21 deg, I 20
- 69.79 deg, I 19

Structural model:
```
data_Ag3Sn2Ge3P6
_cell_length_a 9.1896
_cell_length_b 9.1896
_cell_length_c 9.1896
_cell_angle_alpha 109.47
_cell_angle_beta 109.47
_cell_angle_gamma 109.47
_symmetry_space_group_name_H-M 'P 1'
_symmetry_Int_Tables_number 1
_symmetry_space_group_name_Hall 'P 1'
loop_
_atom_site_label
_atom_site_type_symbol
_atom_site_fract_x
_atom_site_fract_y
_atom_site_fract_z
Ag1 Ag 0.0000 0.1961 0.1961
Ag2 Ag 0.0000 0.8039 0.8039
Ag3 Ag 0.1961 0.0000 0.1961
Ag4 Ag 0.1961 0.1961 0.0000
Ag5 Ag 0.8039 0.0000 0.8039
Ag6 Ag 0.8039 0.8039 0.0000
Sn1 Sn 0.0000 0.0000 0.4106
Sn2 Sn 0.0000 0.4106 0.0000
Sn3 Sn 0.4106 0.0000 0.0000
Sn4 Sn 0.5894 0.5894 0.5894
Ge1 Ge 0.2500 0.5000 0.7500
Ge2 Ge 0.2500 0.7500 0.5000
Ge3 Ge 0.5000 0.2500 0.7500
Ge4 Ge 0.5000 0.7500 0.2500
Ge5 Ge 0.7500 0.2500 0.5000
Ge6 Ge 0.7500 0.5000 0.2500
P1 P 0.0000 0.5097 0.7607
P2 P 0.0000 0.7607 0.5097
P3 P 0.2393 0.2393 0.7490
P4 P 0.2393 0.7490 0.2393
P5 P 0.2510 0.4903 0.4903
P6 P 0.4903 0.2510 0.4903
P7 P 0.4903 0.4903 0.2510
P8 P 0.5097 0.0000 0.7607
P9 P 0.5097 0.7607 0.0000
P10 P 0.7490 0.2393 0.2393
P11 P 0.7607 0.0000 0.5097
P12 P 0.7607 0.5097 0.0000
```

The following is a theoretical powder XRD pattern of PaAg2Ge3. It was derived from a DFT-relaxed cell (GGA-PBE, OQMD), using CuKα.

Largest 10 diffraction maxima, sorted by position, 10° ≤ 2θ ≤ 80°:
- 11.92 deg, I 20
- 24.96 deg, I 22
- 32.65 deg, I 19
- 33.40 deg, I 100
- 36.30 deg, I 36
- 39.63 deg, I 72
- 44.54 deg, I 46
- 58.75 deg, I 35
- 74.91 deg, I 19
- 78.72 deg, I 19

Structural model:
```
data_PaAg2Ge3
_cell_length_a 4.0686
_cell_length_b 4.0686
_cell_length_c 7.4245
_cell_angle_alpha 90.00
_cell_angle_beta 90.00
_cell_angle_gamma 90.00
_symmetry_space_group_name_H-M 'P 1'
_symmetry_Int_Tables_number 1
_symmetry_space_group_name_Hall 'P 1'
loop_
_atom_site_label
_atom_site_type_symbol
_atom_site_fract_x
_atom_site_fract_y
_atom_site_fract_z
Pa1 Pa 0.0000 0.0000 0.0000
Ag1 Ag 0.0000 0.5000 0.6533
Ag2 Ag 0.5000 0.0000 0.3467
Ge1 Ge 0.0000 0.5000 0.2962
Ge2 Ge 0.5000 0.0000 0.7038
Ge3 Ge 0.5000 0.5000 0.0000
```

What did the third record say?
The following is a theoretical powder XRD pattern of Ag6GeSO8. It was derived from a DFT-relaxed cell (GGA-PBE, OQMD), using CuKα.

Largest 10 diffraction maxima, sorted by position, 10° ≤ 2θ ≤ 80°:
- 13.48 deg, I 11
- 32.18 deg, I 100
- 36.05 deg, I 27
- 37.83 deg, I 12
- 39.78 deg, I 9
- 51.91 deg, I 12
- 54.76 deg, I 19
- 62.40 deg, I 19
- 67.33 deg, I 6
- 67.46 deg, I 6

Structural model:
```
data_Ag6GeSO8
_cell_length_a 10.3429
_cell_length_b 10.3429
_cell_length_c 10.3429
_cell_angle_alpha 140.17
_cell_angle_beta 140.17
_cell_angle_gamma 57.59
_symmetry_space_group_name_H-M 'P 1'
_symmetry_Int_Tables_number 1
_symmetry_space_group_name_Hall 'P 1'
loop_
_atom_site_label
_atom_site_type_symbol
_atom_site_fract_x
_atom_site_fract_y
_atom_site_fract_z
Ag1 Ag 0.0000 0.2090 0.2090
Ag2 Ag 0.0000 0.7910 0.7910
Ag3 Ag 0.1066 0.3566 0.7500
Ag4 Ag 0.2090 0.0000 0.7090
Ag5 Ag 0.2090 0.5000 0.2090
Ag6 Ag 0.3566 0.1066 0.2500
Ag7 Ag 0.5000 0.2090 0.7090
Ag8 Ag 0.5000 0.7910 0.2910
Ag9 Ag 0.6434 0.8934 0.7500
Ag10 Ag 0.7910 0.0000 0.2910
Ag11 Ag 0.7910 0.5000 0.7910
Ag12 Ag 0.8934 0.6434 0.2500
Ge1 Ge 0.1250 0.8750 0.2500
Ge2 Ge 0.8750 0.1250 0.7500
S1 S 0.3750 0.6250 0.7500
S2 S 0.6250 0.3750 0.2500
O1 O 0.1398 0.1791 0.9606
O2 O 0.1541 0.5777 0.5765
O3 O 0.1791 0.1398 0.4606
O4 O 0.1791 0.7185 0.0394
O5 O 0.2815 0.8209 0.4606
O6 O 0.4223 0.4988 0.5765
O7 O 0.4223 0.8459 0.9235
O8 O 0.4988 0.4223 0.0765
O9 O 0.5012 0.5777 0.9235
O10 O 0.5777 0.1541 0.0765
O11 O 0.5777 0.5012 0.4235
O12 O 0.7185 0.1791 0.5394
O13 O 0.8209 0.2815 0.9606
O14 O 0.8209 0.8602 0.5394
O15 O 0.8459 0.4223 0.4235
O16 O 0.8602 0.8209 0.0394
```